Structure and computed X-ray powder pattern of Lu6Fe23 (DFT lattice parameters and positions (PBE); Cu Kα, 1.54184 Å).
Peak positions follow from Bragg's law for the DFT cell and can differ from measured ones.

Structural model:
a b c (Å): 8.402 8.402 8.402
angles (deg): 60.00 60.00 60.00
Positions (direct):
1 Lu 0.208 0.208 0.792
2 Lu 0.208 0.792 0.208
3 Lu 0.208 0.792 0.792
4 Lu 0.792 0.208 0.208
5 Lu 0.792 0.208 0.792
6 Lu 0.792 0.792 0.208
7 Fe 0.000 0.000 0.500
8 Fe 0.000 0.500 0.000
9 Fe 0.000 0.500 0.500
10 Fe 0.137 0.621 0.621
11 Fe 0.174 0.174 0.174
12 Fe 0.174 0.174 0.477
13 Fe 0.174 0.477 0.174
14 Fe 0.379 0.379 0.379
15 Fe 0.379 0.379 0.863
16 Fe 0.379 0.863 0.379
17 Fe 0.477 0.174 0.174
18 Fe 0.500 0.000 0.000
19 Fe 0.500 0.000 0.500
20 Fe 0.500 0.500 0.000
21 Fe 0.500 0.500 0.500
22 Fe 0.523 0.826 0.826
23 Fe 0.621 0.137 0.621
24 Fe 0.621 0.621 0.137
25 Fe 0.621 0.621 0.621
26 Fe 0.826 0.523 0.826
27 Fe 0.826 0.826 0.523
28 Fe 0.826 0.826 0.826
29 Fe 0.863 0.379 0.379

Largest 12 diffraction maxima, sorted by position, 10 to 90 degrees two-theta:
- 2θ = 25.98°, I = 32
- 2θ = 30.08°, I = 22
- 2θ = 32.85°, I = 26
- 2θ = 37.06°, I = 35
- 2θ = 39.40°, I = 96
- 2θ = 43.06°, I = 100
- 2θ = 45.82°, I = 17
- 2θ = 55.20°, I = 18
- 2θ = 64.15°, I = 20
- 2θ = 66.80°, I = 25
- 2θ = 80.41°, I = 16
- 2θ = 84.30°, I = 20